Structure and simulated powder diffraction line list of Dy2In8Pd (the PBE geometry in Alexandria; λ = 1.5418 Å (Cu Kα)).
Kinematic intensities with the Lorentz-polarization factor, no thermal factor.

Main lines, low angle first (10 to 80 degrees two-theta):
- (1 1 2), 30.8 deg, intensity 27
- (1 1 3), 35.1 deg, intensity 100
- (0 0 5), 37.1 deg, intensity 14
- (2 0 0), 38.4 deg, intensity 51
- (2 0 5), 54.5 deg, intensity 18
- (2 2 0), 55.5 deg, intensity 17
- (3 1 3), 67.4 deg, intensity 31
- (1 1 8), 68.1 deg, intensity 13

Structure:
Cell: 4.6829 4.6829 12.1035 Å, 90.00 90.00 90.00°
Element x y z (fractional)
1 Dy 0.0000 0.0000 0.1889
2 Dy 0.0000 0.0000 0.8111
3 In 0.0000 0.5000 0.0000
4 In 0.0000 0.5000 0.3731
5 In 0.0000 0.5000 0.6269
6 In 0.5000 0.0000 0.0000
7 In 0.5000 0.0000 0.3731
8 In 0.5000 0.0000 0.6269
9 In 0.5000 0.5000 0.1913
10 In 0.5000 0.5000 0.8087
11 Pd 0.0000 0.0000 0.5000